Diffraction record for LiMnF3. The powder XRD pattern is computed, not measured: it uses a GGA+U-relaxed structure and λ = 1.5418 Å (Cu Kα).

Main lines, by angle (2θ from 10° to 90°):
hkl  2theta  I (rel.)
0 1 1  18.70  9
0 2 0  20.28  57
1 0 1  21.67  100
1 2 1  29.85  19
0 4 0  41.23  21
2 0 2  44.16  26
1 4 1  47.04  23
3 0 1  48.52  17
2 2 2  49.05  13
1 0 3  50.87  13
2 4 2  62.00  14
3 4 1  65.52  11

Crystal structure
abc: 5.967 8.759 5.647
angles: 90.00 90.00 90.00
Space group Pnma (No. 62)
One atom of each set of equivalent atoms:
Li  0.183  0.250  0.177 [4 per cell]
Mn  0.000  0.000  0.500 [4 per cell]
F  0.011  0.750  0.538 [4 per cell]
F  0.191  0.032  0.187 [8 per cell]